This entry pairs a crystal structure of Pu3MnS6 with its theoretical XRD peak list. Radiation: Cu Kα. Structure: DFT lattice parameters and positions (PBE).
Lines closer than 0.1° are merged.

Largest 10 diffraction maxima, by intensity, 2θ = 10–90°:
2θ (°)  d/Å  I_rel
25.4  3.507  100.0
25.7  3.470  55.6
38.2  2.359  43.6
17.3  5.117  40.2
42.3  2.137  33.5
38.7  2.325  29.1
25.9  3.441  27.1
51.3  1.782  26.2
49.4  1.846  20.1
27.5  3.240  16.6

Cell and atoms:
```
Pu3MnS6
1.0
5.3418 -6.6772 0.0000
5.3418 6.6772 0.0000
0.0000 0.0000 6.4791
Pu Mn S
6 2 12
Cartesian
5.3418 5.2672 3.2396 Pu
3.4081 1.3807 2.8068 Pu
3.4081 -1.3807 6.0464 Pu
7.2755 1.3807 2.8068 Pu
7.2755 -1.3807 6.0464 Pu
5.3418 -5.2672 0.0000 Pu
5.3418 2.6182 5.6941 Mn
5.3418 -2.6182 2.4546 Mn
3.5377 3.5647 4.5864 S
1.7283 0.3086 4.6434 S
1.7283 -0.3086 1.4038 S
5.3418 2.9007 1.5332 S
7.1458 3.5647 4.5864 S
5.3418 0.4852 4.7174 S
5.3418 -0.4852 1.4778 S
3.5377 -3.5647 1.3468 S
5.3418 -2.9007 4.7728 S
8.9553 0.3086 4.6434 S
8.9553 -0.3086 1.4038 S
7.1458 -3.5647 1.3468 S
```



This entry pairs a crystal structure of PuMnTl2Se4 with its theoretical XRD peak list. Radiation: Cu Kα. Structure: DFT lattice parameters and positions (PBE).
Lines closer than 0.1° are merged.

Largest 10 diffraction maxima, by intensity, 2θ = 10–90°:
2θ (°)  d/Å  I_rel
29.7  3.007  100.0
42.4  2.132  23.9
42.7  2.120  23.7
25.4  3.500  16.3
43.0  2.104  12.2
52.3  1.750  11.5
42.0  2.153  11.5
69.8  1.348  9.2
70.2  1.341  9.2
25.8  3.459  7.3

Cell and atoms:
```
PuMnTl2Se4
1.0
7.3068 -4.3061 0.0000
7.3068 4.3061 0.0000
-4.7898 0.0000 6.9184
Pu Mn Tl Se
2 2 4 8
Cartesian
3.6534 2.1530 0.0000 Pu
3.6534 -2.1530 0.0000 Pu
0.0000 0.0000 0.0000 Mn
-2.3949 0.0000 3.4592 Mn
1.2585 2.1530 3.4592 Tl
1.2585 -2.1530 3.4592 Tl
7.3068 0.0000 0.0000 Tl
4.9119 0.0000 3.4592 Tl
6.0117 2.5460 1.6253 Se
3.8122 2.5460 5.2931 Se
2.3708 0.0000 1.3984 Se
-0.2677 0.0000 5.2271 Se
10.0916 0.0000 1.6912 Se
7.4531 0.0000 5.5200 Se
6.0117 -2.5460 1.6253 Se
3.8122 -2.5460 5.2931 Se
```



This entry pairs a crystal structure of Pu3Mn2Si9 with its theoretical XRD peak list. Radiation: Cu Kα. Structure: DFT lattice parameters and positions (PBE).
Lines closer than 0.1° are merged.

Largest 10 diffraction maxima, by intensity, 2θ = 10–90°:
2θ (°)  d/Å  I_rel
30.5  2.928  100.0
21.2  4.184  66.8
25.2  3.537  62.4
37.5  2.399  47.3
40.0  2.255  46.5
35.1  2.557  35.7
29.9  2.990  33.9
48.2  1.887  27.7
43.2  2.092  26.7
47.2  1.926  26.1

Cell and atoms:
```
Pu3Mn2Si9
1.0
5.8557 0.0000 0.0000
-2.9278 5.0711 0.0000
0.0000 0.0000 14.8083
Pu Mn Si
6 4 18
Cartesian
0.0000 0.0000 3.7021 Pu
0.0000 0.0000 11.1062 Pu
0.0000 3.3808 1.1041 Pu
0.0000 3.3808 6.3001 Pu
2.9278 1.6904 8.5083 Pu
2.9278 1.6904 13.7042 Pu
0.0000 3.3808 9.7353 Mn
0.0000 3.3808 12.4772 Mn
2.9278 1.6904 2.3312 Mn
2.9278 1.6904 5.0730 Mn
-1.2386 2.6657 3.7021 Si
0.0000 1.4469 8.4646 Si
0.0000 1.4469 13.7479 Si
-1.6748 4.3477 8.4646 Si
-1.6748 4.3477 13.7479 Si
1.2530 0.7234 1.0604 Si
1.2530 0.7234 6.3438 Si
1.2386 2.6657 3.7021 Si
0.0000 4.8109 3.7021 Si
2.9278 0.2602 11.1062 Si
1.6893 2.4055 11.1062 Si
1.6748 4.3477 8.4646 Si
1.6748 4.3477 13.7479 Si
4.6026 0.7234 1.0604 Si
4.6026 0.7234 6.3438 Si
2.9278 3.6243 1.0604 Si
2.9278 3.6243 6.3438 Si
4.1664 2.4055 11.1062 Si
```